1.
The following is a theoretical powder diffraction line list of SrLiVF6. It was derived from a cell relaxed with GGA+U, using Cu Ka.
Kinematic intensities with the Lorentz-polarization factor, no thermal factor.

Structure:
```
18
Lattice="5.330 0.000 0.000 -2.665 4.616 0.000 0.000 0.000 10.499" Properties=species:S:1:pos:R:3 pbc="T T T"
Sr 0.000 0.000 0.000
Sr 0.000 0.000 5.250
Li 0.000 3.077 2.625
Li 2.665 1.539 7.874
V 0.000 3.077 7.874
V 2.665 1.539 2.625
F -0.908 1.707 8.981
F -1.641 2.976 6.768
F 0.908 1.707 6.768
F -0.733 4.549 8.981
F 1.932 0.067 3.731
F 1.024 1.640 1.519
F 1.641 2.976 8.981
F 0.733 4.549 6.768
F 3.398 0.067 1.519
F 1.757 2.909 3.731
F 4.306 1.640 3.731
F 3.573 2.909 1.519
```

Top 10 peaks for 2θ = 10–90°, in order of rising 2θ:
- 2θ 19.23, I = 153
- 2θ 21.02, I = 234
- 2θ 25.70, I = 1000
- 2θ 33.63, I = 129
- 2θ 37.86, I = 278
- 2θ 39.49, I = 112
- 2θ 42.80, I = 210
- 2θ 48.69, I = 447
- 2θ 55.50, I = 221
- 2θ 60.14, I = 165

2.
The following is a theoretical powder diffraction line list of LiVF5. It was derived from a cell relaxed with GGA+U, using Cu Ka.
Kinematic intensities with the Lorentz-polarization factor, no thermal factor.

Structure:
```
56
Lattice="7.711 0.000 0.000 0.000 17.286 0.000 0.000 0.000 5.778" Properties=species:S:1:pos:R:3 pbc="T T T"
Li 0.914 2.522 0.000
Li 1.814 9.172 4.656
Li 2.042 0.529 1.767
Li 2.941 11.165 2.889
Li 4.770 6.120 0.000
Li 5.670 16.756 4.656
Li 5.897 8.113 1.767
Li 6.797 14.763 2.889
V 0.473 6.152 0.054
V 0.842 15.115 0.073
V 3.014 6.472 2.962
V 3.383 14.795 2.942
V 4.329 2.491 0.054
V 4.697 10.813 0.073
V 6.870 2.171 2.962
V 7.239 11.133 2.942
F 0.074 13.534 0.079
F 0.277 1.520 4.319
F 0.275 4.332 0.109
F 0.354 1.515 1.617
F 0.826 10.746 4.237
F 0.848 10.914 1.714
F 1.083 7.892 0.067
F 1.820 5.814 4.410
F 1.824 16.685 0.161
F 1.834 5.874 1.499
F 2.022 14.516 4.388
F 2.032 8.043 3.050
F 2.035 14.457 1.522
F 2.772 16.535 2.956
F 3.008 2.271 4.603
F 3.030 2.103 1.348
F 3.502 10.158 4.506
F 3.578 10.163 1.431
F 3.581 12.975 2.998
F 3.782 4.891 2.967
F 3.929 12.394 0.079
F 4.131 4.311 0.109
F 4.133 7.122 4.319
F 4.210 7.127 1.617
F 4.681 15.182 4.237
F 4.704 15.014 1.714
F 4.939 0.750 0.067
F 5.676 2.828 4.410
F 5.680 9.243 0.161
F 5.690 2.769 1.499
F 5.877 11.412 4.388
F 5.887 0.600 3.050
F 5.891 11.471 1.522
F 6.628 9.393 2.956
F 6.864 6.372 4.603
F 6.886 6.540 1.348
F 7.357 15.770 4.506
F 7.436 12.953 2.998
F 7.434 15.765 1.431
F 7.638 3.752 2.967
```

Top 10 peaks for 2θ = 10–90°, in order of rising 2θ:
- 2θ 15.40, I = 408
- 2θ 20.55, I = 419
- 2θ 21.80, I = 1000
- 2θ 27.82, I = 314
- 2θ 34.79, I = 170
- 2θ 39.00, I = 89
- 2θ 40.39, I = 136
- 2θ 48.57, I = 252
- 2θ 57.66, I = 118
- 2θ 64.54, I = 83

3.
The following is a theoretical powder diffraction line list of LiVF5. It was derived from a cell relaxed with GGA+U, using Cu Ka.
Kinematic intensities with the Lorentz-polarization factor, no thermal factor.

Structure:
```
28
Lattice="4.553 -3.898 0.000 4.553 3.898 0.000 0.000 0.000 10.877" Properties=species:S:1:pos:R:3 pbc="T T T"
Li 1.393 0.000 0.000
Li 3.161 0.000 5.439
Li 5.946 0.000 5.439
Li 7.714 0.000 0.000
V 4.553 2.694 6.591
V 4.553 1.204 1.152
V 4.553 -1.204 9.725
V 4.553 -2.694 4.286
F 4.553 3.874 7.971
F 2.998 1.952 1.615
F 2.998 1.946 7.053
F 1.193 0.000 5.439
F 4.553 2.566 10.599
F 4.553 1.332 5.160
F 3.361 0.000 0.000
F 6.109 1.952 1.615
F 6.109 1.946 7.053
F 4.553 0.024 2.533
F 4.553 -0.024 8.345
F 2.998 -1.946 3.824
F 2.998 -1.952 9.263
F 5.746 0.000 0.000
F 4.553 -1.332 5.717
F 4.553 -2.566 0.278
F 7.914 0.000 5.439
F 6.109 -1.946 3.824
F 6.109 -1.952 9.263
F 4.553 -3.874 2.906
```

Top 10 peaks for 2θ = 10–90°, in order of rising 2θ:
- 2θ 17.05, I = 441
- 2θ 19.49, I = 521
- 2θ 22.19, I = 1000
- 2θ 24.26, I = 146
- 2θ 31.31, I = 149
- 2θ 33.76, I = 140
- 2θ 34.49, I = 203
- 2θ 39.28, I = 179
- 2θ 40.44, I = 314
- 2θ 56.05, I = 145

4.
The following is a theoretical powder diffraction line list of Li4VF7. It was derived from a cell relaxed with GGA+U, using Cu Ka.
Kinematic intensities with the Lorentz-polarization factor, no thermal factor.

Structure:
```
24
Lattice="6.336 -4.364 0.000 6.336 4.364 0.000 -1.218 0.000 5.407" Properties=species:S:1:pos:R:3 pbc="T T T"
Li 1.410 0.527 1.275
Li 0.801 -0.527 3.979
Li 3.549 0.865 3.597
Li 4.158 -0.865 0.893
Li 7.295 0.865 4.514
Li 7.905 -0.865 1.811
Li 10.652 0.527 1.429
Li 10.043 -0.527 4.132
V 6.031 1.999 1.352
V 5.422 -1.999 4.055
F 6.031 3.904 1.352
F 1.815 0.714 3.061
F 4.062 2.113 4.904
F 2.424 -0.714 0.357
F 4.640 0.832 1.924
F 6.783 2.113 3.206
F 4.031 -0.832 4.628
F 7.422 0.832 0.779
F 4.671 -2.113 2.201
F 6.813 -0.832 3.483
F 9.029 0.714 5.050
F 7.392 -2.113 0.503
F 9.638 -0.714 2.346
F 5.422 -3.904 4.055
```

Top 10 peaks for 2θ = 10–90°, in order of rising 2θ:
- 2θ 14.33, I = 1000
- 2θ 19.30, I = 410
- 2θ 21.85, I = 655
- 2θ 24.98, I = 529
- 2θ 26.21, I = 889
- 2θ 36.54, I = 458
- 2θ 37.00, I = 252
- 2θ 37.97, I = 268
- 2θ 39.19, I = 542
- 2θ 53.99, I = 263

5.
The following is a theoretical powder diffraction line list of Li3VF6. It was derived from a cell relaxed with GGA+U, using Cu Ka.
Kinematic intensities with the Lorentz-polarization factor, no thermal factor.

Structure:
```
10
Lattice="4.988 0.000 0.000 -2.494 4.319 0.000 0.000 0.000 4.962" Properties=species:S:1:pos:R:3 pbc="T T T"
Li 0.000 0.000 0.000
Li 0.000 2.880 0.000
Li 2.494 1.440 0.000
V 0.000 0.000 2.481
F -0.770 1.333 3.779
F -1.724 2.987 1.183
F 1.539 0.000 3.779
F 0.770 1.333 1.183
F 3.449 0.000 1.183
F 1.724 2.987 3.779
```

Top 10 peaks for 2θ = 10–90°, in order of rising 2θ:
- 2θ 20.56, I = 1000
- 2θ 27.38, I = 614
- 2θ 40.48, I = 918
- 2θ 42.00, I = 115
- 2θ 45.82, I = 148
- 2θ 51.99, I = 535
- 2θ 56.49, I = 127
- 2θ 59.62, I = 150
- 2θ 64.75, I = 235
- 2θ 68.01, I = 114

6.
The following is a theoretical powder diffraction line list of Li2VF4. It was derived from a cell relaxed with GGA+U, using Cu Ka.
Kinematic intensities with the Lorentz-polarization factor, no thermal factor.

Structure:
```
28
Lattice="6.116 0.000 0.000 0.000 6.116 0.000 0.000 0.000 8.542" Properties=species:S:1:pos:R:3 pbc="T T T"
Li 0.000 1.353 0.000
Li 0.000 4.763 4.271
Li 1.353 0.000 6.407
Li 1.512 1.512 3.203
Li 1.512 4.604 1.068
Li 4.604 1.512 5.339
Li 4.604 4.604 7.475
Li 4.763 0.000 2.136
V 1.439 3.058 6.407
V 3.058 1.439 0.000
V 3.058 4.677 4.271
V 4.677 3.058 2.136
F 0.044 1.504 6.477
F 0.044 4.612 6.337
F 1.504 0.044 8.472
F 1.504 6.072 4.341
F 1.521 2.934 8.525
F 1.521 3.183 4.289
F 2.934 1.521 6.424
F 2.934 4.596 6.390
F 3.183 1.521 2.118
F 3.183 4.596 2.153
F 4.596 2.934 0.017
F 4.596 3.183 4.254
F 4.612 0.044 0.070
F 4.612 6.072 4.201
F 6.072 1.504 2.066
F 6.072 4.612 2.206
```

Top 10 peaks for 2θ = 10–90°, in order of rising 2θ:
- 2θ 14.48, I = 342
- 2θ 17.84, I = 1000
- 2θ 23.05, I = 605
- 2θ 25.43, I = 304
- 2θ 34.43, I = 370
- 2θ 41.77, I = 949
- 2θ 42.32, I = 467
- 2θ 60.55, I = 291
- 2θ 60.97, I = 582
- 2θ 76.64, I = 203

7.
The following is a theoretical powder diffraction line list of Li3VF5. It was derived from a cell relaxed with GGA+U, using Cu Ka.
Kinematic intensities with the Lorentz-polarization factor, no thermal factor.

Structure:
```
27
Lattice="4.957 0.000 0.000 -2.479 4.293 0.000 0.000 0.000 13.548" Properties=species:S:1:pos:R:3 pbc="T T T"
Li -1.757 3.044 2.258
Li -1.504 2.795 12.474
Li 0.721 1.249 6.774
Li 0.810 1.593 3.442
Li 0.975 1.498 10.106
Li 0.694 4.198 7.958
Li 3.172 0.095 1.074
Li 3.515 0.000 11.290
Li 3.288 2.700 5.590
V -1.683 2.915 9.032
V 0.795 1.378 0.000
V 3.366 0.000 4.516
F -0.561 0.972 9.032
F -0.976 1.981 0.848
F -0.186 1.561 11.708
F -1.034 3.673 7.192
F 1.122 0.000 4.516
F 1.445 0.620 1.841
F -0.275 4.148 9.880
F 2.204 0.145 12.701
F 1.252 2.457 5.364
F 1.502 2.312 8.185
F 1.220 3.352 2.676
F 1.918 3.321 0.000
F 2.293 2.732 10.873
F 3.698 0.941 6.357
F 3.730 1.836 3.668
```

Top 10 peaks for 2θ = 10–90°, in order of rising 2θ:
- 2θ 19.66, I = 568
- 2θ 21.72, I = 1000
- 2θ 24.55, I = 743
- 2θ 36.24, I = 615
- 2θ 36.86, I = 836
- 2θ 39.32, I = 978
- 2θ 41.56, I = 292
- 2θ 44.26, I = 296
- 2θ 50.33, I = 590
- 2θ 63.58, I = 464

8.
The following is a theoretical powder diffraction line list of Li2VF4. It was derived from a cell relaxed with GGA+U, using Cu Ka.
Kinematic intensities with the Lorentz-polarization factor, no thermal factor.

Structure:
```
28
Lattice="5.235 0.000 0.000 0.000 6.297 0.000 -5.174 0.000 9.828" Properties=species:S:1:pos:R:3 pbc="T T T"
Li -1.298 0.583 3.549
Li -3.885 2.566 8.463
Li -1.360 3.701 4.507
Li -3.947 5.744 9.421
Li 4.007 0.552 0.407
Li 1.420 2.596 5.321
Li 3.945 3.731 1.365
Li 1.358 5.714 6.279
V -1.283 1.094 7.320
V 1.304 2.054 2.406
V -1.244 4.243 7.422
V 1.343 5.202 2.508
F -3.140 1.136 6.362
F -0.552 2.012 1.448
F -2.867 4.126 6.057
F -0.280 5.319 1.143
F 0.506 3.591 3.666
F -2.081 5.854 8.580
F 0.581 0.514 3.645
F -2.006 2.635 8.559
F 2.067 3.662 1.268
F -0.520 5.783 6.182
F 2.141 0.443 1.247
F -0.446 2.706 6.161
F 0.341 0.978 8.685
F 2.928 2.171 3.771
F 0.613 4.285 8.380
F 3.200 5.160 3.466
```

Top 10 peaks for 2θ = 10–90°, in order of rising 2θ:
- 2θ 18.05, I = 689
- 2θ 19.21, I = 1000
- 2θ 29.80, I = 203
- 2θ 32.33, I = 154
- 2θ 38.10, I = 566
- 2θ 38.89, I = 441
- 2θ 43.52, I = 205
- 2θ 50.31, I = 165
- 2θ 59.47, I = 173
- 2θ 60.68, I = 173